1.
# V2MoO8
Calculated powder X-ray diffraction pattern, Cu Kα (weighted mean of Kα1 and Kα2). Input: a cell relaxed with GGA+U.

Structural model:
```
data_V2MoO8
_cell_length_a 3.7132
_cell_length_b 19.3825
_cell_length_c 4.3332
_cell_angle_alpha 90.00
_cell_angle_beta 90.00
_cell_angle_gamma 90.00
_symmetry_space_group_name_H-M 'C m m 2'
_symmetry_Int_Tables_number 35
loop_
_symmetry_equiv_pos_as_xyz
'x,y,z'
'-x,-y,z'
'-x,y,z'
'x,-y,z'
'x+1/2,y+1/2,z'
'-x+1/2,-y+1/2,z'
'-x+1/2,y+1/2,z'
'x+1/2,-y+1/2,z'
loop_
_atom_site_label
_atom_site_type_symbol
_atom_site_fract_x
_atom_site_fract_y
_atom_site_fract_z
V1 V 0.0000 0.1879 0.0000
Mo1 Mo 0.0000 0.0000 0.0079
O1 O 0.0000 0.0000 0.6112
O2 O 0.0000 0.0976 0.0985
O3 O 0.0000 0.1861 0.6268
O4 O 0.0000 0.2907 0.0841
O5 O 0.0000 0.5000 0.0992
```

Largest 8 diffraction maxima, low angle first, 10° ≤ 2θ ≤ 90°:
- d = 4.846 Å, 18.3°, intensity 36
- d = 4.333 Å, 20.5°, intensity 100
- d = 3.647 Å, 24.4°, intensity 67
- d = 3.230 Å, 27.6°, intensity 48
- d = 2.790 Å, 32.1°, intensity 30
- d = 2.682 Å, 33.4°, intensity 25
- d = 2.280 Å, 39.5°, intensity 17
- d = 2.167 Å, 41.7°, intensity 19

=====

2.
# V2MoO8
Calculated powder X-ray diffraction pattern, Cu Kα (weighted mean of Kα1 and Kα2). Input: a cell relaxed with GGA+U.

Structural model:
```
data_V2MoO8
_cell_length_a 19.0797
_cell_length_b 3.7232
_cell_length_c 4.3134
_cell_angle_alpha 90.00
_cell_angle_beta 90.26
_cell_angle_gamma 90.00
_symmetry_space_group_name_H-M 'C 1 m 1'
_symmetry_Int_Tables_number 8
loop_
_symmetry_equiv_pos_as_xyz
'x,y,z'
'x,-y,z'
'x+1/2,y+1/2,z'
'x+1/2,-y+1/2,z'
loop_
_atom_site_label
_atom_site_type_symbol
_atom_site_fract_x
_atom_site_fract_y
_atom_site_fract_z
V1 V 0.0000 0.0000 0.0000
V2 V 0.1205 0.5000 0.2096
Mo1 Mo 0.3108 0.5000 0.2068
O1 O 0.0187 0.5000 0.0953
O2 O 0.1014 0.0000 0.1133
O3 O 0.1223 0.5000 0.5849
O4 O 0.2120 0.5000 0.1097
O5 O 0.3102 0.0000 0.1207
O6 O 0.3111 0.5000 0.6063
O7 O 0.4088 0.5000 0.1091
O8 O 0.4978 0.5000 0.6248
```

Largest 8 diffraction maxima, low angle first, 10° ≤ 2θ ≤ 90°:
- d = 4.770 Å, 18.6°, intensity 51
- d = 4.313 Å, 20.6°, intensity 100
- d = 3.928 Å, 22.6°, intensity 24
- d = 3.654 Å, 24.4°, intensity 90
- d = 3.206 Å, 27.8°, intensity 27
- d = 3.180 Å, 28.1°, intensity 41
- d = 2.787 Å, 32.1°, intensity 40
- d = 2.665 Å, 33.6°, intensity 34

=====

3.
# VMoO5
Calculated powder X-ray diffraction pattern, Cu Kα (weighted mean of Kα1 and Kα2). Input: a cell relaxed with GGA+U.

Structural model:
```
data_VMoO5
_cell_length_a 6.7205
_cell_length_b 6.7205
_cell_length_c 4.6546
_cell_angle_alpha 90.00
_cell_angle_beta 90.00
_cell_angle_gamma 90.00
_symmetry_space_group_name_H-M 'P 4/n'
_symmetry_Int_Tables_number 85
loop_
_symmetry_equiv_pos_as_xyz
'x,y,z'
'-x,-y,-z'
'-y+1/2,x,z'
'y+1/2,-x,-z'
'-x+1/2,-y+1/2,z'
'x+1/2,y+1/2,-z'
'y,-x+1/2,z'
'-y,x+1/2,-z'
loop_
_atom_site_label
_atom_site_type_symbol
_atom_site_fract_x
_atom_site_fract_y
_atom_site_fract_z
V1 V 0.2500 0.2500 0.1702
Mo1 Mo 0.2500 0.7500 0.5000
O1 O 0.0353 0.7845 0.7230
O2 O 0.2500 0.2500 0.8195
```

Largest 8 diffraction maxima, low angle first, 10° ≤ 2θ ≤ 90°:
- d = 4.655 Å, 19.1°, intensity 20
- d = 3.826 Å, 23.2°, intensity 25
- d = 3.360 Å, 26.5°, intensity 81
- d = 3.325 Å, 26.8°, intensity 100
- d = 2.724 Å, 32.9°, intensity 15
- d = 2.090 Å, 43.3°, intensity 22
- d = 1.933 Å, 47.0°, intensity 37
- d = 1.569 Å, 58.8°, intensity 25

=====

4.
# V2MoO8
Calculated powder X-ray diffraction pattern, Cu Kα (weighted mean of Kα1 and Kα2). Input: a cell relaxed with GGA+U.

Structural model:
```
data_V2MoO8
_cell_length_a 19.5189
_cell_length_b 3.7760
_cell_length_c 3.9094
_cell_angle_alpha 90.00
_cell_angle_beta 90.14
_cell_angle_gamma 90.00
_symmetry_space_group_name_H-M 'C 1 2/m 1'
_symmetry_Int_Tables_number 12
loop_
_symmetry_equiv_pos_as_xyz
'x,y,z'
'-x,-y,-z'
'-x,y,-z'
'x,-y,z'
'x+1/2,y+1/2,z'
'-x+1/2,-y+1/2,-z'
'-x+1/2,y+1/2,-z'
'x+1/2,-y+1/2,z'
loop_
_atom_site_label
_atom_site_type_symbol
_atom_site_fract_x
_atom_site_fract_y
_atom_site_fract_z
V1 V 0.1898 0.0000 0.0883
Mo1 Mo 0.0000 0.0000 0.0000
O1 O 0.0000 0.0000 0.5000
O2 O 0.0000 0.5000 0.0000
O3 O 0.0987 0.0000 0.0055
O4 O 0.1886 0.0000 0.5063
O5 O 0.2091 0.5000 0.0076
```

Largest 8 diffraction maxima, low angle first, 10° ≤ 2θ ≤ 90°:
- d = 4.880 Å, 18.2°, intensity 59
- d = 3.909 Å, 22.7°, intensity 98
- d = 3.707 Å, 24.0°, intensity 100
- d = 3.253 Å, 27.4°, intensity 46
- d = 2.714 Å, 33.0°, intensity 38
- d = 2.691 Å, 33.3°, intensity 37
- d = 1.953 Å, 46.5°, intensity 43
- d = 1.888 Å, 48.2°, intensity 25

=====

5.
# VMoO5
Calculated powder X-ray diffraction pattern, Cu Kα (weighted mean of Kα1 and Kα2). Input: a cell relaxed with GGA+U.

Structural model:
```
data_VMoO5
_cell_length_a 3.8224
_cell_length_b 4.8796
_cell_length_c 6.0414
_cell_angle_alpha 90.61
_cell_angle_beta 108.31
_cell_angle_gamma 90.17
_symmetry_space_group_name_H-M 'P 1'
_symmetry_Int_Tables_number 1
loop_
_symmetry_equiv_pos_as_xyz
'x,y,z'
loop_
_atom_site_label
_atom_site_type_symbol
_atom_site_fract_x
_atom_site_fract_y
_atom_site_fract_z
V1 V 0.0000 0.0000 0.0000
Mo1 Mo 0.6944 0.2507 0.3926
O1 O 0.1638 0.1434 0.3314
O2 O 0.5311 0.0864 0.0648
O3 O 0.7015 0.5994 0.4012
O4 O 0.8524 0.1151 0.7097
O5 O 0.9964 0.6699 0.9922
```

Largest 8 diffraction maxima, low angle first, 10° ≤ 2θ ≤ 90°:
- d = 5.735 Å, 15.5°, intensity 56
- d = 4.879 Å, 18.2°, intensity 100
- d = 3.739 Å, 23.8°, intensity 67
- d = 3.626 Å, 24.5°, intensity 82
- d = 2.906 Å, 30.8°, intensity 63
- d = 2.868 Å, 31.2°, intensity 29
- d = 2.703 Å, 33.1°, intensity 43
- d = 1.911 Å, 47.6°, intensity 41

=====

6.
# VMoO5
Calculated powder X-ray diffraction pattern, Cu Kα (weighted mean of Kα1 and Kα2). Input: a cell relaxed with GGA+U.

Structural model:
```
data_VMoO5
_cell_length_a 6.1586
_cell_length_b 6.1632
_cell_length_c 14.4843
_cell_angle_alpha 79.87
_cell_angle_beta 84.31
_cell_angle_gamma 79.58
_symmetry_space_group_name_H-M 'P 1'
_symmetry_Int_Tables_number 1
loop_
_symmetry_equiv_pos_as_xyz
'x,y,z'
loop_
_atom_site_label
_atom_site_type_symbol
_atom_site_fract_x
_atom_site_fract_y
_atom_site_fract_z
V1 V 0.0000 0.0000 0.0000
V2 V 0.0680 0.8038 0.5879
V3 V 0.2056 0.6036 0.3990
V4 V 0.6063 0.8000 0.1996
V5 V 0.6770 0.6058 0.7854
Mo1 Mo 0.2657 0.4119 0.9866
Mo2 Mo 0.4162 0.1886 0.8005
Mo3 Mo 0.4571 0.0067 0.3896
Mo4 Mo 0.8191 0.3940 0.5993
Mo5 Mo 0.8629 0.2075 0.1878
O1 O 0.0022 0.6614 0.3303
O2 O 0.0210 0.2732 0.0598
O3 O 0.0677 0.5323 0.5299
O4 O 0.0732 0.1501 0.2617
O5 O 0.1411 0.6956 0.9932
O6 O 0.2123 0.2493 0.7239
O7 O 0.2196 0.8723 0.4629
O8 O 0.2599 0.1293 0.9293
O9 O 0.2674 0.7470 0.6576
O10 O 0.3426 0.2966 0.3923
O11 O 0.4089 0.8584 0.1281
O12 O 0.4255 0.4676 0.8612
O13 O 0.4562 0.7377 0.3275
O14 O 0.4707 0.3552 0.0628
O15 O 0.5475 0.8835 0.7924
O16 O 0.6086 0.4553 0.5259
O17 O 0.6209 0.0726 0.2615
O18 O 0.6663 0.9501 0.4639
O19 O 0.6730 0.3247 0.7322
O20 O 0.7419 0.4951 0.1926
O21 O 0.8017 0.0580 0.9285
O22 O 0.8276 0.6659 0.6629
O23 O 0.8570 0.9364 0.1276
O24 O 0.8713 0.5496 0.8576
O25 O 0.9485 0.0867 0.5925
```

Largest 8 diffraction maxima, low angle first, 10° ≤ 2θ ≤ 90°:
- d = 5.863 Å, 15.1°, intensity 35
- d = 4.771 Å, 18.6°, intensity 100
- d = 3.735 Å, 23.8°, intensity 58
- d = 3.611 Å, 24.7°, intensity 74
- d = 2.931 Å, 30.5°, intensity 32
- d = 2.898 Å, 30.9°, intensity 28
- d = 2.845 Å, 31.4°, intensity 26
- d = 2.723 Å, 32.9°, intensity 41

=====

Which formula does entry 1 have?
V2MoO8

=====

What is the formula in the sixth record?
VMoO5